(1)
The following is a calculated powder X-ray diffraction pattern of NaSrDyMnO6. It was derived from the GGA+U geometry in the Materials Project, using copper Kα.
No peak broadening, texture or thermal motion is included.

The 12 most intense peaks (2θ = 10–90°), low angle first:
2θ (°)	I/Imax
18.7	30
21.7	27
30.8	100
36.3	23
44.2	37
48.4	12
49.7	10
54.8	39
58.5	7
64.3	21
73.0	18
89.4	21

Structure:
a = 8.2007 Å, b = 8.2007 Å, c = 8.2007 Å
α = 90.00°, β = 90.00°, γ = 90.00°
Space group F-43m (No. 216)
Unique sites:
Na (0.0000, 0.0000, 0.0000) (multiplicity 4)
Sr (0.0000, 0.0000, 0.5000) (multiplicity 4)
Dy (0.2500, 0.2500, 0.2500) (multiplicity 4)
Mn (0.2500, 0.2500, 0.7500) (multiplicity 4)
O (0.0186, 0.2500, 0.7500) (multiplicity 24)


(2)
The following is a calculated powder X-ray diffraction pattern of HfMg14CoO16. It was derived from the GGA+U geometry in the Materials Project, using copper Kα.
No peak broadening, texture or thermal motion is included.

The 12 most intense peaks (2θ = 10–90°), low angle first:
2θ (°)	I/Imax
10.2	42
14.5	61
20.5	31
25.4	36
29.3	26
36.1	47
39.1	24
41.8	100
42.2	50
60.6	29
60.9	58
76.5	26

Structure:
a = 8.6484 Å, b = 8.6484 Å, c = 4.2871 Å
α = 90.00°, β = 90.00°, γ = 90.00°
Space group P4/mmm (No. 123)
Unique sites:
Hf (0.0000, 0.0000, 0.0000) (multiplicity 1)
Mg (0.0000, 0.2617, 0.5000) (multiplicity 4)
Mg (0.0000, 0.5000, 0.0000) (multiplicity 2)
Mg (0.2574, 0.5000, 0.5000) (multiplicity 4)
Mg (0.2615, 0.2615, 0.0000) (multiplicity 4)
Co (0.5000, 0.5000, 0.0000) (multiplicity 1)
O (0.0000, 0.0000, 0.5000) (multiplicity 1)
O (0.0000, 0.2474, 0.0000) (multiplicity 4)
O (0.0000, 0.5000, 0.5000) (multiplicity 2)
O (0.2344, 0.5000, 0.0000) (multiplicity 4)
O (0.2489, 0.2489, 0.5000) (multiplicity 4)
O (0.5000, 0.5000, 0.5000) (multiplicity 1)


(3)
The following is a calculated powder X-ray diffraction pattern of K2NiH8C2O10. It was derived from the GGA+U geometry in the Materials Project, using copper Kα.
No peak broadening, texture or thermal motion is included.

The 12 most intense peaks (2θ = 10–90°), low angle first:
2θ (°)	I/Imax
14.1	78
16.2	48
16.3	32
19.2	56
23.6	46
27.8	49
29.1	36
29.5	65
29.8	100
35.1	48
36.0	35
43.8	43

Structure:
a = 6.8928 Å, b = 6.2855 Å, c = 12.3022 Å
α = 90.00°, β = 114.34°, γ = 90.00°
Space group P2_1/c (No. 14)
Unique sites:
K (0.2357, 0.1553, 0.3175) (multiplicity 4)
Ni (0.0000, 0.0000, 0.0000) (multiplicity 2)
H (0.1945, 0.6593, 0.3673) (multiplicity 4)
H (0.2051, 0.6995, 0.9829) (multiplicity 4)
H (0.2965, 0.1748, 0.5768) (multiplicity 4)
H (0.4270, 0.1106, 0.1099) (multiplicity 4)
C (0.2557, 0.6574, 0.1810) (multiplicity 4)
O (0.1064, 0.7194, 0.4086) (multiplicity 4)
O (0.1237, 0.6838, 0.6537) (multiplicity 4)
O (0.2913, 0.1728, 0.0507) (multiplicity 4)
O (0.3162, 0.5685, 0.2852) (multiplicity 4)
O (0.3276, 0.5853, 0.1050) (multiplicity 4)


(4)
The following is a calculated powder X-ray diffraction pattern of Li7Fe3SbP6O24. It was derived from the GGA+U geometry in the Materials Project, using copper Kα.
No peak broadening, texture or thermal motion is included.

The 12 most intense peaks (2θ = 10–90°), low angle first:
2θ (°)	I/Imax
14.2	63
19.9	82
20.4	39
23.7	100
28.6	46
31.7	90
35.4	20
35.6	42
48.5	33
52.2	22
55.8	20
61.6	23

Structure:
a = 8.7243 Å, b = 8.7243 Å, c = 22.1771 Å
α = 90.00°, β = 90.00°, γ = 120.00°
Space group R3 (No. 146, hexagonal axes)
Unique sites:
Li (0.0000, 0.0000, 0.0000) (multiplicity 3)
Li (0.0225, 0.6830, 0.0432) (multiplicity 9)
Li (0.0470, 0.2481, 0.5460) (multiplicity 9)
Fe (0.0000, 0.0000, 0.1369) (multiplicity 3)
Fe (0.0000, 0.0000, 0.3388) (multiplicity 3)
Fe (0.0000, 0.0000, 0.6524) (multiplicity 3)
Sb (0.0000, 0.0000, 0.8369) (multiplicity 3)
P (0.0065, 0.3192, 0.7436) (multiplicity 9)
P (0.0477, 0.6726, 0.9072) (multiplicity 9)
O (0.0039, 0.8084, 0.1826) (multiplicity 9)
O (0.0625, 0.2037, 0.0707) (multiplicity 9)
O (0.0705, 0.2206, 0.3881) (multiplicity 9)
O (0.0715, 0.3906, 0.4770) (multiplicity 9)
O (0.0937, 0.2336, 0.7057) (multiplicity 9)
O (0.1627, 0.6877, 0.5697) (multiplicity 9)
O (0.1718, 0.7319, 0.9624) (multiplicity 9)
O (0.1757, 0.7185, 0.2506) (multiplicity 9)


(5)
The following is a calculated powder X-ray diffraction pattern of NaFeO3. It was derived from the GGA+U geometry in the Materials Project, using copper Kα.
No peak broadening, texture or thermal motion is included.

The 10 most intense peaks (2θ = 10–90°), low angle first:
2θ (°)	I/Imax
23.2	79
33.1	100
40.8	1
47.5	64
53.5	25
59.1	36
69.4	33
74.3	10
79.1	14
88.4	10

Structure:
a = 3.8305 Å, b = 3.8305 Å, c = 3.8305 Å
α = 90.00°, β = 90.00°, γ = 90.00°
Space group Pm-3m (No. 221)
Unique sites:
Na (0.0000, 0.0000, 0.0000) (multiplicity 1)
Fe (0.5000, 0.5000, 0.5000) (multiplicity 1)
O (0.0000, 0.5000, 0.5000) (multiplicity 3)


(6)
The following is a calculated powder X-ray diffraction pattern of MnV2O4. It was derived from the GGA+U geometry in the Materials Project, using copper Kα.
No peak broadening, texture or thermal motion is included.

The 12 most intense peaks (2θ = 10–90°), low angle first:
2θ (°)	I/Imax
17.7	9
29.0	34
34.2	100
35.7	5
41.5	20
51.4	11
54.8	38
60.2	48
68.2	4
71.0	10
83.1	6
85.8	16

Structure:
a = 8.7016 Å, b = 8.7016 Å, c = 8.7016 Å
α = 90.00°, β = 90.00°, γ = 90.00°
Space group Fd-3m (No. 227, origin choice 2)
Unique sites:
Mn (0.1250, 0.1250, 0.1250) (multiplicity 8)
V (0.0000, 0.0000, 0.5000) (multiplicity 16)
O (0.0122, 0.0122, 0.7378) (multiplicity 32)